Li12MnCoNi10O24: computed powder diffractogram (λ = 1.5418 Å (Cu Kα)), based on a DFT-relaxed cell (GGA+U, the Materials Project).
Intensities are scaled so that the largest is 100.

```
data_Li12MnCoNi10O24
_chemical_formula_sum 'Li24 Mn2 Co2 Ni20 O48'
_symmetry_space_group_name_H-M 'C 1 2/m 1'
_symmetry_Int_Tables_number 12
_symmetry_space_group_name_Hall '-C 2y'
_cell_length_a 10.0563
_cell_length_b 5.7968
_cell_length_c 14.2826
_cell_angle_alpha 90.00
_cell_angle_beta 90.31
_cell_angle_gamma 90.00
loop_
_atom_site_label
_atom_site_type_symbol
_atom_site_fract_x
_atom_site_fract_y
_atom_site_fract_z
Li1 Li 0.0000 0.0000 0.0000
Li2 Li 0.0000 0.5000 0.0000
Li3 Li 0.0848 0.2467 0.3329
Li4 Li 0.1679 0.5000 0.6674
Li5 Li 0.1690 0.0000 0.6651
Li6 Li 0.2500 0.2500 0.0000
Mn1 Mn 0.0000 0.0000 0.5000
Co1 Co 0.0000 0.5000 0.5000
Ni1 Ni 0.0837 0.2499 0.8336
Ni2 Ni 0.1671 0.0000 0.1657
Ni3 Ni 0.1669 0.5000 0.1668
Ni4 Ni 0.2500 0.2500 0.5000
O1 O 0.0084 0.5000 0.7630
O2 O 0.0121 0.0000 0.2401
O3 O 0.0778 0.2389 0.5790
O4 O 0.0870 0.2353 0.0908
O5 O 0.1585 0.0000 0.9033
O6 O 0.1592 0.5000 0.4224
O7 O 0.1596 0.0000 0.4251
O8 O 0.1773 0.5000 0.9096
O9 O 0.2462 0.2331 0.2411
```

Largest 8 diffraction maxima, low angle first, 2θ = 10–80°:
2theta, d/Å, intensity
18.6, 4.761, 100
36.2, 2.478, 15
36.3, 2.472, 29
38.0, 2.370, 16
43.9, 2.061, 25
44.1, 2.051, 48
63.9, 1.457, 13
64.2, 1.450, 20

BaSmCoCuO6: computed powder diffractogram (λ = 1.5418 Å (Cu Kα)), based on a DFT-relaxed cell (GGA+U, the Materials Project).
Intensities are scaled so that the largest is 100.

```
data_BaSmCoCuO6
_chemical_formula_sum 'Ba1 Sm1 Co1 Cu1 O6'
_symmetry_space_group_name_H-M 'P 4 m m'
_symmetry_Int_Tables_number 99
_symmetry_space_group_name_Hall 'P 4 -2'
_cell_length_a 3.9338
_cell_length_b 3.9338
_cell_length_c 7.7316
_cell_angle_alpha 90.00
_cell_angle_beta 90.00
_cell_angle_gamma 90.00
loop_
_atom_site_label
_atom_site_type_symbol
_atom_site_fract_x
_atom_site_fract_y
_atom_site_fract_z
Ba1 Ba 0.0000 0.0000 0.0000
Sm1 Sm 0.0000 0.0000 0.4986
Co1 Co 0.5000 0.5000 0.7440
Cu1 Cu 0.5000 0.5000 0.2522
O1 O 0.0000 0.5000 0.2803
O2 O 0.0000 0.5000 0.7201
O3 O 0.5000 0.5000 0.5050
O4 O 0.5000 0.5000 0.9832
```

Largest 8 diffraction maxima, low angle first, 2θ = 10–80°:
2theta, d/Å, intensity
32.2, 2.782, 51
32.5, 2.757, 100
39.9, 2.258, 23
46.2, 1.967, 33
47.0, 1.933, 14
57.6, 1.601, 39
58.1, 1.587, 20
68.0, 1.379, 18

Li2NiBiO4: computed powder diffractogram (λ = 1.5418 Å (Cu Kα)), based on a DFT-relaxed cell (GGA+U, the Materials Project).
Intensities are scaled so that the largest is 100.

```
data_Li2NiBiO4
_chemical_formula_sum 'Li4 Ni2 Bi2 O8'
_symmetry_space_group_name_H-M 'I -4 m 2'
_symmetry_Int_Tables_number 119
_symmetry_space_group_name_Hall 'I -4 -2'
_cell_length_a 4.4286
_cell_length_b 4.4286
_cell_length_c 8.9358
_cell_angle_alpha 90.00
_cell_angle_beta 90.00
_cell_angle_gamma 90.00
loop_
_atom_site_label
_atom_site_type_symbol
_atom_site_fract_x
_atom_site_fract_y
_atom_site_fract_z
Li1 Li 0.0000 0.0000 0.0000
Li2 Li 0.0000 0.5000 0.2500
Ni1 Ni 0.0000 0.5000 0.7500
Bi1 Bi 0.0000 0.0000 0.5000
O1 O 0.0000 0.0000 0.2507
O2 O 0.0000 0.5000 0.5159
```

Largest 8 diffraction maxima, low angle first, 2θ = 10–80°:
2theta, d/Å, intensity
22.4, 3.968, 100
35.0, 2.564, 35
36.3, 2.472, 29
40.4, 2.234, 15
40.7, 2.214, 29
47.0, 1.934, 29
55.7, 1.649, 17
58.7, 1.573, 19

Dy2VO5: computed powder diffractogram (λ = 1.5418 Å (Cu Kα)), based on a DFT-relaxed cell (GGA+U, the Materials Project).
Intensities are scaled so that the largest is 100.

```
data_Dy2VO5
_chemical_formula_sum 'Dy8 V4 O20'
_symmetry_space_group_name_H-M 'P 1 21/c 1'
_symmetry_Int_Tables_number 14
_symmetry_space_group_name_Hall '-P 2ybc'
_cell_length_a 9.3880
_cell_length_b 7.0605
_cell_length_c 6.7997
_cell_angle_alpha 90.00
_cell_angle_beta 100.81
_cell_angle_gamma 90.00
loop_
_atom_site_label
_atom_site_type_symbol
_atom_site_fract_x
_atom_site_fract_y
_atom_site_fract_z
Dy1 Dy 0.0295 0.1205 0.2353
Dy2 Dy 0.3499 0.1426 0.0113
V1 V 0.3038 0.5988 0.0114
O1 O 0.1040 0.6416 0.9734
O2 O 0.1075 0.1161 0.9244
O3 O 0.2787 0.0807 0.3063
O4 O 0.3751 0.0755 0.6915
O5 O 0.3989 0.6838 0.4950
```

Largest 8 diffraction maxima, low angle first, 2θ = 10–80°:
2theta, d/Å, intensity
15.8, 5.606, 44
26.6, 3.347, 41
29.0, 3.074, 67
30.1, 2.967, 35
31.0, 2.881, 100
33.2, 2.697, 50
47.7, 1.905, 40
55.6, 1.653, 35

Na6Ni2PC4O16: computed powder diffractogram (λ = 1.5418 Å (Cu Kα)), based on a DFT-relaxed cell (GGA+U, the Materials Project).
Intensities are scaled so that the largest is 100.

a = 13.8741 Å, b = 13.8741 Å, c = 13.8741 Å
α = 90.00°, β = 90.00°, γ = 90.00°
Space group Fd-3 (No. 203, origin choice 2)
Asymmetric unit:
Na (0.0876, 0.3750, 0.3750)
Ni (0.0000, 0.0000, 0.5000)
P (0.1250, 0.1250, 0.1250)
C (0.0331, 0.0331, 0.7169)
O (0.0201, 0.1036, 0.7770)
O (0.0603, 0.0603, 0.0603)

Largest 8 diffraction maxima, low angle first, 2θ = 10–80°:
2theta, d/Å, intensity
11.0, 8.010, 37
21.2, 4.183, 94
33.6, 2.670, 100
36.6, 2.453, 71
38.4, 2.345, 23
43.3, 2.092, 22
46.8, 1.943, 23
57.5, 1.602, 34

MgSc2Fe2O6: computed powder diffractogram (λ = 1.5418 Å (Cu Kα)), based on a DFT-relaxed cell (GGA+U, the Materials Project).
Intensities are scaled so that the largest is 100.

```
data_MgSc2Fe2O6
_chemical_formula_sum 'Mg1 Sc2 Fe2 O6'
_symmetry_space_group_name_H-M 'P 1'
_symmetry_Int_Tables_number 1
_symmetry_space_group_name_Hall 'P 1'
_cell_length_a 3.2192
_cell_length_b 3.3961
_cell_length_c 13.8412
_cell_angle_alpha 87.68
_cell_angle_beta 89.94
_cell_angle_gamma 61.89
loop_
_atom_site_label
_atom_site_type_symbol
_atom_site_fract_x
_atom_site_fract_y
_atom_site_fract_z
Mg1 Mg 0.0000 0.0000 0.0000
Sc1 Sc 0.3218 0.3576 0.1864
Sc2 Sc 0.3716 0.2278 0.6036
Fe1 Fe 0.0190 0.9538 0.3838
Fe2 Fe 0.6869 0.6157 0.8235
O1 O 0.0029 0.9932 0.2094
O2 O 0.0400 0.8914 0.5391
O3 O 0.3348 0.3298 0.3472
O4 O 0.3918 0.2038 0.8913
O5 O 0.6891 0.6200 0.0612
O6 O 0.7296 0.5120 0.6861
```

Largest 8 diffraction maxima, low angle first, 2θ = 10–80°:
2theta, d/Å, intensity
25.8, 3.457, 32
32.1, 2.789, 68
32.4, 2.765, 100
33.2, 2.702, 38
33.9, 2.643, 40
35.0, 2.563, 37
54.2, 1.693, 30
57.2, 1.610, 29

Cr2FeO4: computed powder diffractogram (λ = 1.5418 Å (Cu Kα)), based on a DFT-relaxed cell (GGA+U, the Materials Project).
Intensities are scaled so that the largest is 100.

```
data_Cr2FeO4
_chemical_formula_sum 'Cr8 Fe4 O16'
_symmetry_space_group_name_H-M 'P n m a'
_symmetry_Int_Tables_number 62
_symmetry_space_group_name_Hall '-P 2ac 2n'
_cell_length_a 9.2610
_cell_length_b 3.0323
_cell_length_c 10.8039
_cell_angle_alpha 90.00
_cell_angle_beta 90.00
_cell_angle_gamma 90.00
loop_
_atom_site_label
_atom_site_type_symbol
_atom_site_fract_x
_atom_site_fract_y
_atom_site_fract_z
Cr1 Cr 0.0499 0.2500 0.1170
Cr2 Cr 0.0928 0.2500 0.5958
Fe1 Fe 0.2460 0.7500 0.3290
O1 O 0.0518 0.7500 0.7157
O2 O 0.0821 0.2500 0.9327
O3 O 0.1127 0.7500 0.4712
O4 O 0.1915 0.7500 0.1539
```

Largest 8 diffraction maxima, low angle first, 2θ = 10–80°:
2theta, d/Å, intensity
25.3, 3.516, 28
30.6, 2.920, 24
33.2, 2.701, 39
33.4, 2.680, 100
35.3, 2.541, 81
36.4, 2.470, 80
49.3, 1.849, 24
61.1, 1.516, 29